Record 1
Diffraction record for PmSm2PuSb4. The powder X-ray diffraction pattern is computed, not measured: it uses DFT lattice parameters and positions (PBE) and Cu Kα.
No peak broadening, texture or thermal motion is included.

abc: 6.3138 6.3138 12.6325
angles: 90.00 90.00 90.00
Space group I4/mmm (No. 139)
Asymmetric unit:
Pm: 0.0000 0.0000 0.0000 x2
Sm: 0.0000 0.5000 0.2500 x4
Pu: 0.0000 0.0000 0.5000 x2
Sb: 0.0000 0.0000 0.2530 x4
Sb: 0.0000 0.5000 0.0000 x4

Top 8 peaks for 10° ≤ 2θ ≤ 90°, in order of falling intensity:
- 2θ = 28.27°, I = 100
- 2θ = 40.40°, I = 77
- 2θ = 66.18°, I = 36
- 2θ = 50.04°, I = 28
- 2θ = 73.47°, I = 26
- 2θ = 58.46°, I = 13
- 2θ = 87.36°, I = 9
- 2θ = 24.42°, I = 5



Record 2
Diffraction record for PmPu2ThSb4. The powder X-ray diffraction pattern is computed, not measured: it uses DFT lattice parameters and positions (PBE) and Cu Kα.
No peak broadening, texture or thermal motion is included.

abc: 7.7217 4.4815 7.7537
angles: 90.00 109.56 90.00
Space group P2/m (No. 10)
Asymmetric unit:
Pm: 0.0000 0.0000 0.0000 x1
Pu: 0.5000 0.0000 0.5000 x1
Pu: 0.5000 0.5000 0.0000 x1
Th: 0.0000 0.5000 0.5000 x1
Sb: 0.2550 0.0000 0.7521 x2
Sb: 0.2552 0.5000 0.2518 x2

Top 8 peaks for 10° ≤ 2θ ≤ 90°, in order of falling intensity:
- 2θ = 28.23°, I = 100
- 2θ = 40.27°, I = 39
- 2θ = 40.42°, I = 38
- 2θ = 49.90°, I = 21
- 2θ = 65.98°, I = 18
- 2θ = 66.18°, I = 18
- 2θ = 58.37°, I = 13
- 2θ = 73.23°, I = 11



Record 3
Diffraction record for PmPu2Sc. The powder X-ray diffraction pattern is computed, not measured: it uses DFT lattice parameters and positions (PBE) and Cu Kα.
No peak broadening, texture or thermal motion is included.

abc: 3.4135 3.4135 33.5641
angles: 90.00 90.00 120.00
Space group R3m (No. 160, hexagonal axes)
Asymmetric unit:
Pm: 0.0000 0.0000 0.0000 x3
Pu: 0.0000 0.0000 0.2458 x3
Pu: 0.0000 0.0000 0.4205 x3
Sc: 0.0000 0.0000 0.8331 x3

Top 8 peaks for 10° ≤ 2θ ≤ 90°, in order of falling intensity:
- 2θ = 33.11°, I = 100
- 2θ = 35.68°, I = 62
- 2θ = 32.00°, I = 47
- 2θ = 63.90°, I = 45
- 2θ = 15.84°, I = 42
- 2θ = 30.35°, I = 37
- 2θ = 32.10°, I = 36
- 2θ = 53.70°, I = 35



Record 4
Diffraction record for Pm2PuSe3. The powder X-ray diffraction pattern is computed, not measured: it uses DFT lattice parameters and positions (PBE) and Cu Kα.
No peak broadening, texture or thermal motion is included.

abc: 4.1731 5.9008 12.5643
angles: 90.00 90.00 90.00
Space group Immm (No. 71)
Asymmetric unit:
Pm: 0.0000 0.0000 0.1690 x4
Pu: 0.0000 0.0000 0.5000 x2
Se: 0.0000 0.5000 0.1630 x4
Se: 0.0000 0.5000 0.5000 x2

Top 8 peaks for 10° ≤ 2θ ≤ 90°, in order of falling intensity:
- 2θ = 30.25°, I = 100
- 2θ = 43.34°, I = 63
- 2θ = 71.43°, I = 29
- 2θ = 26.12°, I = 27
- 2θ = 53.67°, I = 13
- 2θ = 53.81°, I = 13
- 2θ = 79.52°, I = 13
- 2θ = 43.20°, I = 13



Record 5
Diffraction record for PmPu6Se8. The powder X-ray diffraction pattern is computed, not measured: it uses DFT lattice parameters and positions (PBE) and Cu Kα.
No peak broadening, texture or thermal motion is included.

abc: 11.7438 11.7438 11.7438
angles: 90.00 90.00 90.00
Space group Fm-3m (No. 225)
Asymmetric unit:
Pm: 0.0000 0.0000 0.0000 x4
Pu: 0.0000 0.2500 0.2500 x24
Se: 0.0000 0.0000 0.2523 x24
Se: 0.2500 0.2500 0.2500 x8

Top 8 peaks for 10° ≤ 2θ ≤ 90°, in order of falling intensity:
- 2θ = 30.45°, I = 100
- 2θ = 43.60°, I = 76
- 2θ = 71.91°, I = 35
- 2θ = 26.29°, I = 32
- 2θ = 54.10°, I = 27
- 2θ = 80.06°, I = 26
- 2θ = 51.63°, I = 17
- 2θ = 63.36°, I = 13



Record 6
Diffraction record for PmPuTe2Se. The powder X-ray diffraction pattern is computed, not measured: it uses DFT lattice parameters and positions (PBE) and Cu Kα.
No peak broadening, texture or thermal motion is included.

abc: 4.3838 4.3838 15.5521
angles: 90.00 90.00 90.00
Space group P4/nmm (No. 129, origin choice 2)
Asymmetric unit:
Pm: 0.2500 0.2500 0.0944 x2
Pu: 0.2500 0.2500 0.6285 x2
Te: 0.2500 0.2500 0.2969 x2
Te: 0.2500 0.2500 0.8861 x2
Se: 0.2500 0.7500 0.5000 x2

Top 8 peaks for 10° ≤ 2θ ≤ 90°, in order of falling intensity:
- 2θ = 28.80°, I = 100
- 2θ = 37.09°, I = 82
- 2θ = 41.18°, I = 70
- 2θ = 23.29°, I = 34
- 2θ = 22.87°, I = 32
- 2θ = 26.63°, I = 30
- 2θ = 35.38°, I = 29
- 2θ = 33.69°, I = 28



Record 7
Diffraction record for Pm3PuTh3Se8. The powder X-ray diffraction pattern is computed, not measured: it uses DFT lattice parameters and positions (PBE) and Cu Kα.
No peak broadening, texture or thermal motion is included.

abc: 8.3537 8.3537 20.5376
angles: 90.00 90.00 120.00
Space group R-3m (No. 166, hexagonal axes)
Asymmetric unit:
Pm: 0.0000 0.5000 0.0000 x9
Pu: 0.0000 0.0000 0.5000 x3
Th: 0.0000 0.5000 0.5000 x9
Se: 0.0000 0.0000 0.2512 x6
Se: 0.0041 0.5020 0.7489 x18

Top 8 peaks for 10° ≤ 2θ ≤ 90°, in order of falling intensity:
- 2θ = 30.22°, I = 100
- 2θ = 43.21°, I = 38
- 2θ = 43.32°, I = 38
- 2θ = 26.10°, I = 24
- 2θ = 53.73°, I = 20
- 2θ = 79.44°, I = 19
- 2θ = 71.24°, I = 17
- 2θ = 71.40°, I = 17



Record 8
Diffraction record for Pm8Sm3Pu. The powder X-ray diffraction pattern is computed, not measured: it uses DFT lattice parameters and positions (PBE) and Cu Kα.
No peak broadening, texture or thermal motion is included.

abc: 8.7648 8.7648 11.5356
angles: 90.00 90.00 90.00
Space group I-42m (No. 121)
Asymmetric unit:
Pm: 0.1242 0.1242 0.2365 x8
Pm: 0.2345 0.2345 0.9762 x8
Sm: 0.0000 0.0000 0.5000 x2
Sm: 0.0000 0.5000 0.2500 x4
Pu: 0.0000 0.0000 0.0000 x2

Top 8 peaks for 10° ≤ 2θ ≤ 90°, in order of falling intensity:
- 2θ = 35.95°, I = 100
- 2θ = 28.81°, I = 73
- 2θ = 31.01°, I = 57
- 2θ = 23.98°, I = 47
- 2θ = 42.84°, I = 44
- 2θ = 44.22°, I = 41
- 2θ = 14.29°, I = 36
- 2θ = 21.04°, I = 34



Record 9
Diffraction record for Pm6SmPu. The powder X-ray diffraction pattern is computed, not measured: it uses DFT lattice parameters and positions (PBE) and Cu Kα.
No peak broadening, texture or thermal motion is included.

abc: 21.0646 5.1143 5.1143
angles: 90.00 103.97 90.00
Space group C2/m (No. 12)
Asymmetric unit:
Pm: 0.1218 0.0000 0.1218 x4
Pm: 0.1218 0.5000 0.6218 x4
Pm: 0.2500 0.0000 0.7499 x4
Sm: 0.0000 0.0000 0.5000 x2
Pu: 0.0000 0.5000 0.0000 x2

Top 8 peaks for 10° ≤ 2θ ≤ 90°, in order of falling intensity:
- 2θ = 30.28°, I = 100
- 2θ = 35.10°, I = 51
- 2θ = 60.01°, I = 43
- 2θ = 50.49°, I = 36
- 2θ = 82.16°, I = 15
- 2θ = 62.97°, I = 12
- 2θ = 84.77°, I = 11
- 2θ = 74.19°, I = 6



Record 10
Diffraction record for Pm2Sm3Y6Pu. The powder X-ray diffraction pattern is computed, not measured: it uses DFT lattice parameters and positions (PBE) and Cu Kα.
No peak broadening, texture or thermal motion is included.

abc: 6.2193 10.7790 11.8059
angles: 90.00 100.14 90.00
Space group C2/m (No. 12)
Asymmetric unit:
Pm: 0.0000 0.1666 0.0000 x4
Sm: 0.0000 0.0000 0.5000 x2
Sm: 0.0000 0.3330 0.5000 x4
Y: 0.2470 0.3354 0.2480 x8
Y: 0.2467 0.5000 0.7519 x4
Pu: 0.0000 0.5000 0.0000 x2

Top 8 peaks for 10° ≤ 2θ ≤ 90°, in order of falling intensity:
- 2θ = 30.51°, I = 100
- 2θ = 35.45°, I = 67
- 2θ = 30.77°, I = 33
- 2θ = 60.62°, I = 28
- 2θ = 50.84°, I = 24
- 2θ = 51.18°, I = 23
- 2θ = 60.46°, I = 14
- 2θ = 60.92°, I = 14



Record 11
Diffraction record for PmPuSn6. The powder X-ray diffraction pattern is computed, not measured: it uses DFT lattice parameters and positions (PBE) and Cu Kα.
No peak broadening, texture or thermal motion is included.

abc: 4.7270 4.7270 9.3644
angles: 90.00 90.00 90.00
Space group P4/mmm (No. 123)
Asymmetric unit:
Pm: 0.0000 0.0000 0.0000 x1
Pu: 0.0000 0.0000 0.5000 x1
Sn: 0.0000 0.5000 0.2550 x4
Sn: 0.5000 0.5000 0.0000 x1
Sn: 0.5000 0.5000 0.5000 x1

Top 8 peaks for 10° ≤ 2θ ≤ 90°, in order of falling intensity:
- 2θ = 32.92°, I = 100
- 2θ = 38.07°, I = 34
- 2θ = 65.56°, I = 29
- 2θ = 55.23°, I = 24
- 2θ = 38.45°, I = 16
- 2θ = 66.07°, I = 14
- 2θ = 69.05°, I = 12
- 2θ = 54.94°, I = 12



Record 12
Diffraction record for Pm5PuSn4. The powder X-ray diffraction pattern is computed, not measured: it uses DFT lattice parameters and positions (PBE) and Cu Kα.
No peak broadening, texture or thermal motion is included.

abc: 7.6216 10.3831 8.1607
angles: 90.00 90.00 90.00
Space group Pmmn (No. 59, origin choice 2)
Asymmetric unit:
Pm: 0.0185 0.0369 0.2213 x8
Pm: 0.2500 0.2500 0.5512 x2
Pu: 0.2500 0.7500 0.8444 x2
Sn: 0.0534 0.2500 0.9092 x4
Sn: 0.2500 0.5946 0.4931 x4

Top 8 peaks for 10° ≤ 2θ ≤ 90°, in order of falling intensity:
- 2θ = 23.42°, I = 100
- 2θ = 36.62°, I = 90
- 2θ = 36.77°, I = 90
- 2θ = 32.14°, I = 89
- 2θ = 29.07°, I = 81
- 2θ = 25.80°, I = 78
- 2θ = 30.41°, I = 77
- 2θ = 27.81°, I = 69



Record 13
Diffraction record for Pm3PuSn6. The powder X-ray diffraction pattern is computed, not measured: it uses DFT lattice parameters and positions (PBE) and Cu Kα.
No peak broadening, texture or thermal motion is included.

abc: 8.5273 7.3632 10.1237
angles: 90.00 114.46 90.00
Space group P2_1/c (No. 14)
Asymmetric unit:
Pm: 0.0000 0.0000 0.0000 x2
Pm: 0.2497 0.0322 0.4995 x4
Pu: 0.5000 0.0000 0.0000 x2
Sn: 0.1032 0.1438 0.7442 x4
Sn: 0.2514 0.7496 0.2516 x4
Sn: 0.3989 0.1462 0.2559 x4

Top 8 peaks for 10° ≤ 2θ ≤ 90°, in order of falling intensity:
- 2θ = 31.12°, I = 100
- 2θ = 30.95°, I = 47
- 2θ = 42.47°, I = 33
- 2θ = 39.10°, I = 27
- 2θ = 24.13°, I = 18
- 2θ = 34.20°, I = 17
- 2θ = 30.14°, I = 15
- 2θ = 59.25°, I = 13